Entry 1:
Diffraction record for KLiICl. The X-ray diffraction stick pattern is theoretical, not measured: it uses a PBE-relaxed structure and Cu Kα, 1.54184 Å.
Lines closer than 0.1° are merged.

Main lines, sorted by position (5 to 70 degrees two-theta):
- hkl 1 0 0, 20.60 deg, I 85
- hkl 1 0 1, 24.38 deg, I 98
- hkl 0 0 2, 25.95 deg, I 69
- hkl 1 1 0, 29.30 deg, I 100
- hkl 1 0 2, 33.36 deg, I 51
- hkl 1 1 2, 39.53 deg, I 85
- hkl 2 0 0, 41.92 deg, I 36
- hkl 2 1 1, 49.08 deg, I 28
- hkl 2 0 2, 49.96 deg, I 42
- hkl 2 1 2, 54.60 deg, I 24

Structural model:
Cell lengths 4.311, 4.311, 6.868 Å; angles 90.00, 90.00, 90.00 degrees
Space group P4/mmm (No. 123)
Inequivalent atoms, fractional coordinates:
K (0.000, 0.000, 0.000) [1 per cell]
Li (0.500, 0.500, 0.500) [1 per cell]
I (0.000, 0.000, 0.500) [1 per cell]
Cl (0.500, 0.500, 0.000) [1 per cell]

---

Entry 2:
Diffraction record for LiCu2C2O7. The X-ray diffraction stick pattern is theoretical, not measured: it uses a PBE-relaxed structure and Cu Kα, 1.54184 Å.
Lines closer than 0.1° are merged.

Main lines, sorted by position (5 to 70 degrees two-theta):
- hkl 0 1 0, 21.21 deg, I 63
- hkl 1 1 0, 21.30 deg, I 32
- hkl 1 0 1, 21.98 deg, I 63
- hkl 1 1 1, 22.08 deg, I 61
- hkl 0 0 4, 23.34 deg, I 100
- hkl 0 1 4, 31.68 deg, I 22
- hkl 0 1 5, 36.38 deg, I 31
- hkl 0 1 -5, 36.51 deg, I 20
- hkl 1 -1 0, 37.16 deg, I 33
- hkl 0 1 9, 58.71 deg, I 19

Structural model:
Cell lengths 4.814, 4.834, 15.243 Å; angles 89.66, 89.62, 60.27 degrees
Space group P1 (No. 1)
Inequivalent atoms, fractional coordinates:
Li (0.000, 0.000, 0.000) [1 per cell]
Li (0.000, 0.000, 0.500) [1 per cell]
Cu (0.331, 0.334, 0.365) [1 per cell]
Cu (0.332, 0.338, 0.135) [1 per cell]
Cu (0.668, 0.662, 0.865) [1 per cell]
Cu (0.669, 0.666, 0.635) [1 per cell]
C (0.335, 0.331, 0.589) [1 per cell]
C (0.336, 0.330, 0.911) [1 per cell]
C (0.664, 0.670, 0.089) [1 per cell]
C (0.665, 0.669, 0.411) [1 per cell]
O (0.074, 0.313, 0.586) [1 per cell]
O (0.078, 0.609, 0.913) [1 per cell]
O (0.315, 0.073, 0.913) [1 per cell]
O (0.316, 0.606, 0.591) [1 per cell]
O (0.348, 0.309, 0.250) [1 per cell]
O (0.386, 0.689, 0.086) [1 per cell]
O (0.388, 0.926, 0.413) [1 per cell]
O (0.612, 0.074, 0.587) [1 per cell]
O (0.614, 0.311, 0.914) [1 per cell]
O (0.677, 0.679, 0.751) [1 per cell]
O (0.684, 0.394, 0.409) [1 per cell]
O (0.685, 0.927, 0.087) [1 per cell]
O (0.922, 0.391, 0.087) [1 per cell]
O (0.926, 0.687, 0.414) [1 per cell]

---

Entry 3:
Diffraction record for Ho2TlZn. The X-ray diffraction stick pattern is theoretical, not measured: it uses a PBE-relaxed structure and Cu Kα, 1.54184 Å.
Lines closer than 0.1° are merged.

Main lines, sorted by position (5 to 70 degrees two-theta):
- hkl 1 1 1, 20.93 deg, I 10
- hkl 2 0 0, 24.21 deg, I 1
- hkl 2 2 0, 34.50 deg, I 100
- hkl 3 1 1, 40.70 deg, I 6
- hkl 4 0 0, 49.60 deg, I 18
- hkl 3 3 1, 54.40 deg, I 3
- hkl 4 2 2, 61.82 deg, I 37
- hkl 5 1 1, 66.03 deg, I 2

Structural model:
Cell lengths 7.352, 7.352, 7.352 Å; angles 90.00, 90.00, 90.00 degrees
Space group Fm-3m (No. 225)
Inequivalent atoms, fractional coordinates:
Ho (0.250, 0.250, 0.250) [8 per cell]
Tl (0.000, 0.000, 0.000) [4 per cell]
Zn (0.000, 0.000, 0.500) [4 per cell]

---

Entry 4:
Diffraction record for Hg2SN2Cl4O3. The X-ray diffraction stick pattern is theoretical, not measured: it uses a PBE-relaxed structure and Cu Kα, 1.54184 Å.
Lines closer than 0.1° are merged.

Main lines, sorted by position (5 to 70 degrees two-theta):
- hkl 0 0 1, 8.19 deg, I 100
- hkl 0 0 2, 16.43 deg, I 23
- hkl 2 1 0, 21.85 deg, I 20
- hkl 2 1 -1, 22.23 deg, I 28
- hkl 2 1 -2, 25.48 deg, I 26
- hkl 0 2 0, 26.58 deg, I 20
- hkl 0 2 1, 27.86 deg, I 17
- hkl 2 1 2, 29.31 deg, I 10
- hkl 2 1 -3, 30.75 deg, I 19
- hkl 0 2 2, 31.41 deg, I 10

Structural model:
Cell lengths 10.402, 6.706, 10.967 Å; angles 90.00, 100.30, 90.00 degrees
Space group P2_1/m (No. 11)
Inequivalent atoms, fractional coordinates:
Hg (0.101, 0.250, 0.489) [2 per cell]
Hg (0.357, 0.750, 0.523) [2 per cell]
S (0.201, 0.250, 0.922) [2 per cell]
N (0.141, 0.250, 0.184) [2 per cell]
N (0.351, 0.750, 0.071) [2 per cell]
Cl (0.087, 0.750, 0.657) [2 per cell]
Cl (0.198, 0.750, 0.346) [2 per cell]
Cl (0.291, 0.250, 0.634) [2 per cell]
Cl (0.479, 0.250, 0.306) [2 per cell]
O (0.131, 0.065, 0.907) [4 per cell]
O (0.341, 0.250, 0.948) [2 per cell]

---

Entry 5:
Diffraction record for VCr3As4. The X-ray diffraction stick pattern is theoretical, not measured: it uses a PBE-relaxed structure and Cu Kα, 1.54184 Å.
Lines closer than 0.1° are merged.

Main lines, sorted by position (5 to 70 degrees two-theta):
- hkl 1 0 -2, 32.66 deg, I 50
- hkl 1 1 1, 33.14 deg, I 100
- hkl 2 1 0, 40.93 deg, I 14
- hkl 1 1 2, 41.70 deg, I 26
- hkl 2 0 -2, 43.13 deg, I 36
- hkl 2 1 -1, 43.51 deg, I 73
- hkl 0 1 3, 50.73 deg, I 51
- hkl 0 2 0, 51.73 deg, I 27
- hkl 1 2 -2, 62.53 deg, I 15
- hkl 2 2 -2, 69.56 deg, I 16

Structural model:
Cell lengths 5.642, 3.535, 6.273 Å; angles 90.00, 90.12, 90.00 degrees
Space group Pm (No. 6)
Inequivalent atoms, fractional coordinates:
V (0.000, 0.000, 0.000) [1 per cell]
Cr (0.011, 0.500, 0.402) [1 per cell]
Cr (0.500, 0.000, 0.920) [1 per cell]
Cr (0.513, 0.500, 0.497) [1 per cell]
As (0.213, 0.500, 0.781) [1 per cell]
As (0.298, 0.000, 0.291) [1 per cell]
As (0.708, 0.500, 0.128) [1 per cell]
As (0.804, 0.000, 0.626) [1 per cell]

---

Entry 6:
Diffraction record for Ho2RuAu. The X-ray diffraction stick pattern is theoretical, not measured: it uses a PBE-relaxed structure and Cu Kα, 1.54184 Å.
Lines closer than 0.1° are merged.

Main lines, sorted by position (5 to 70 degrees two-theta):
- hkl 1 1 1, 22.08 deg, I 5
- hkl 2 2 0, 36.45 deg, I 100
- hkl 3 1 1, 43.03 deg, I 3
- hkl 4 0 0, 52.50 deg, I 18
- hkl 3 3 1, 57.63 deg, I 1
- hkl 4 2 2, 65.59 deg, I 36

Structural model:
Cell lengths 6.972, 6.972, 6.972 Å; angles 90.00, 90.00, 90.00 degrees
Space group Fm-3m (No. 225)
Inequivalent atoms, fractional coordinates:
Ho (0.250, 0.250, 0.250) [8 per cell]
Ru (0.000, 0.000, 0.000) [4 per cell]
Au (0.000, 0.000, 0.500) [4 per cell]